For YCd3, a cell relaxed with GGA-PBE gives the calculated powder diffractogram in this record (Cu Kα (λ = 1.5418 Å)).
Kinematic intensities with the Lorentz-polarization factor, no thermal factor.

Peak list (10 most intense, 2θ = 15–90°, by angle)
index	2θ/deg	I_rel
2 2 0	30.0	14
0 4 0	32.7	18
1 3 1	33.1	10
2 2 1	35.2	100
0 0 2	36.7	30
0 4 1	37.6	26
0 4 2	50.0	11
2 6 0	56.7	10
2 2 3	65.1	16
2 6 2	69.4	11

Structural model:
```
data_YCd3
_chemical_formula_sum 'Y4 Cd12'
_symmetry_space_group_name_H-M 'C m c m'
_symmetry_Int_Tables_number 63
_symmetry_space_group_name_Hall '-C 2c 2'
_cell_length_a 7.111
_cell_length_b 10.953
_cell_length_c 4.900
_cell_angle_alpha 90.00
_cell_angle_beta 90.00
_cell_angle_gamma 90.00
loop_
_atom_site_label
_atom_site_type_symbol
_atom_site_fract_x
_atom_site_fract_y
_atom_site_fract_z
_atom_site_occupancy
Y1 Y 0.000 0.138 0.250 1
Cd1 Cd 0.000 0.326 0.750 1
Cd2 Cd 0.218 0.407 0.250 1
```

---

For Y4Cd3, a cell relaxed with GGA-PBE gives the calculated powder diffractogram in this record (Cu Kα (λ = 1.5418 Å)).
Kinematic intensities with the Lorentz-polarization factor, no thermal factor.

Peak list (10 most intense, 2θ = 15–90°, by angle)
index	2θ/deg	I_rel
0 0 2	28.5	13
1 1 0	30.1	17
1 0 2	33.4	100
2 0 0	34.9	35
2 0 1	37.8	56
2 1 2	55.6	36
2 0 3	56.7	17
2 2 0	62.6	16
3 1 2	72.9	12
3 2 2	88.5	12

Structural model:
```
data_Y4Cd3
_chemical_formula_sum 'Y4 Cd3'
_symmetry_space_group_name_H-M 'P 6/m m m'
_symmetry_Int_Tables_number 191
_symmetry_space_group_name_Hall '-P 6 2'
_cell_length_a 5.9380
_cell_length_b 5.9380
_cell_length_c 6.2726
_cell_angle_alpha 90.00
_cell_angle_beta 90.00
_cell_angle_gamma 120.00
loop_
_atom_site_label
_atom_site_type_symbol
_atom_site_fract_x
_atom_site_fract_y
_atom_site_fract_z
_atom_site_occupancy
Y1 Y 0.0000 0.0000 0.2495 1
Y2 Y 0.3333 0.6667 0.0000 1
Cd1 Cd 0.0000 0.5000 0.5000 1
```

---

For YCd, a cell relaxed with GGA-PBE gives the calculated powder diffractogram in this record (Cu Kα (λ = 1.5418 Å)).
Kinematic intensities with the Lorentz-polarization factor, no thermal factor.

Peak list (10 most intense, 2θ = 15–90°, by angle)
index	2θ/deg	I_rel
0 0 4	32.6	19
0 2 0	34.0	100
0 2 4	47.8	13
2 0 0	49.7	7
1 1 6	59.0	11
2 0 4	60.7	6
1 3 2	60.9	14
2 2 0	61.6	9
2 2 4	71.5	7
3 1 2	83.0	7

Structural model:
```
data_YCd
_chemical_formula_sum 'Y4 Cd4'
_symmetry_space_group_name_H-M 'I m m a'
_symmetry_Int_Tables_number 74
_symmetry_space_group_name_Hall '-I 2b 2'
_cell_length_a 3.666
_cell_length_b 5.267
_cell_length_c 10.995
_cell_angle_alpha 90.00
_cell_angle_beta 90.00
_cell_angle_gamma 90.00
loop_
_atom_site_label
_atom_site_type_symbol
_atom_site_fract_x
_atom_site_fract_y
_atom_site_fract_z
_atom_site_occupancy
Y1 Y 0.000 0.250 0.113 1
Cd1 Cd 0.000 0.250 0.645 1
```